Starting from a crystal structure in Alexandria, relaxed with PBE, the X-ray powder pattern of Nb3Co4B7 was computed for Cu Ka.

Structural model:
```
data_Nb3Co4B7
_chemical_formula_sum 'Nb12 Co16 B28'
_space_group_name_H-M_alt 'C m c m'
_space_group_IT_number 63
_space_group_name_Hall '-C 2c 2'
_cell_length_a 3.209
_cell_length_b 18.386
_cell_length_c 8.888
_cell_angle_alpha 90.00
_cell_angle_beta 90.00
_cell_angle_gamma 90.00
loop_
_atom_site_label
_atom_site_type_symbol
_atom_site_fract_x
_atom_site_fract_y
_atom_site_fract_z
_atom_site_occupancy
Nb1 Nb 0.000 0.081 0.055 1
Nb2 Nb 0.000 0.198 0.750 1
Co1 Co 0.000 0.042 0.750 1
Co2 Co 0.000 0.301 0.005 1
Co3 Co 0.000 0.344 0.750 1
B1 B 0.000 0.210 0.144 1
B2 B 0.000 0.390 0.147 1
B3 B 0.000 0.455 0.750 1
B4 B 0.000 0.485 0.093 1
```

Top 6 peaks for 2θ = 10–80°, sorted by position:
| hkl | two_theta | I (rel.) |
| --- | --- | --- |
| 1 1 0 | 28.2 | 28 |
| 0 8 0 | 39.2 | 26 |
| 0 0 4 | 40.6 | 28 |
| 1 1 3 | 41.8 | 64 |
| 1 5 2 | 42.6 | 100 |
| 2 0 0 | 57.4 | 29 |


Starting from a crystal structure in Alexandria, relaxed with PBE, the X-ray powder pattern of Ca3Mg2In2 was computed for Cu Ka.

Structural model:
```
data_Ca3Mg2In2
_chemical_formula_sum 'Ca6 Mg4 In4'
_space_group_name_H-M_alt 'I m m m'
_space_group_IT_number 71
_space_group_name_Hall '-I 2 2'
_cell_length_a 3.749
_cell_length_b 5.096
_cell_length_c 21.338
_cell_angle_alpha 90.00
_cell_angle_beta 90.00
_cell_angle_gamma 90.00
loop_
_atom_site_label
_atom_site_type_symbol
_atom_site_fract_x
_atom_site_fract_y
_atom_site_fract_z
_atom_site_occupancy
Ca1 Ca 0.000 0.000 0.000 1
Ca2 Ca 0.000 0.500 0.199 1
Mg1 Mg 0.000 0.000 0.431 1
In1 In 0.000 0.500 0.358 1
```

Top 6 peaks for 2θ = 10–80°, sorted by position:
| hkl | two_theta | I (rel.) |
| --- | --- | --- |
| 0 0 4 | 16.6 | 44 |
| 1 1 0 | 29.6 | 48 |
| 1 1 2 | 30.8 | 65 |
| 1 1 4 | 34.1 | 65 |
| 0 1 7 | 34.3 | 100 |
| 0 2 0 | 35.2 | 51 |


Starting from a crystal structure in Alexandria, relaxed with PBE, the X-ray powder pattern of SrTmCu2Te4 was computed for Cu Ka.

Structural model:
```
data_SrTmCu2Te4
_chemical_formula_sum 'Sr2 Tm2 Cu4 Te8'
_space_group_name_H-M_alt 'I 2 2 2'
_space_group_IT_number 23
_cell_length_a 7.155
_cell_length_b 7.823
_cell_length_c 8.600
_cell_angle_alpha 90.00
_cell_angle_beta 90.00
_cell_angle_gamma 90.00
loop_
_space_group_symop_operation_xyz
'x,y,z'
'-x,-y,z'
'x,-y,-z'
'-x,y,-z'
'x+1/2,y+1/2,z+1/2'
'-x+1/2,-y+1/2,z+1/2'
'x+1/2,-y+1/2,-z+1/2'
'-x+1/2,y+1/2,-z+1/2'
loop_
_atom_site_label
_atom_site_type_symbol
_atom_site_fract_x
_atom_site_fract_y
_atom_site_fract_z
_atom_site_occupancy
Sr1 Sr 0.000 0.000 0.000 1
Tm1 Tm 0.000 0.000 0.500 1
Cu1 Cu 0.000 0.500 0.152 1
Te1 Te 0.235 0.216 0.300 1
```

Top 6 peaks for 2θ = 10–80°, sorted by position:
| hkl | two_theta | I (rel.) |
| --- | --- | --- |
| 0 1 1 | 15.3 | 36 |
| 1 1 2 | 26.7 | 88 |
| 0 2 2 | 30.9 | 61 |
| 2 0 2 | 32.6 | 58 |
| 2 2 0 | 34.0 | 100 |
| 1 1 4 | 45.6 | 43 |


Starting from a crystal structure in Alexandria, relaxed with PBE, the X-ray powder pattern of NbPO5 was computed for Cu Ka.

Structural model:
```
data_NbPO5
_chemical_formula_sum 'Nb8 P8 O40'
_space_group_name_H-M_alt 'P 1 21/c 1'
_space_group_IT_number 14
_cell_length_a 13.330
_cell_length_b 5.431
_cell_length_c 13.603
_cell_angle_alpha 90.00
_cell_angle_beta 120.63
_cell_angle_gamma 90.00
loop_
_space_group_symop_operation_xyz
'x,y,z'
'-x,-y,-z'
'-x,y+1/2,-z+1/2'
'x,-y+1/2,z+1/2'
loop_
_atom_site_label
_atom_site_type_symbol
_atom_site_fract_x
_atom_site_fract_y
_atom_site_fract_z
_atom_site_occupancy
Nb1 Nb 0.063 0.248 0.197 1
Nb2 Nb 0.437 0.749 0.134 1
P1 P 0.154 0.744 0.091 1
P2 P 0.346 0.246 0.937 1
O1 O 0.003 0.513 0.246 1
O2 O 0.081 0.745 0.459 1
O3 O 0.125 0.534 0.642 1
O4 O 0.131 0.000 0.633 1
O5 O 0.216 0.249 0.343 1
O6 O 0.284 0.744 0.627 1
O7 O 0.372 0.005 0.003 1
O8 O 0.372 0.030 0.515 1
O9 O 0.419 0.239 0.378 1
O10 O 0.499 0.010 0.245 1
```

Top 6 peaks for 2θ = 10–80°, sorted by position:
| hkl | two_theta | I (rel.) |
| --- | --- | --- |
| 2 0 0 | 15.5 | 49 |
| 1 0 2 | 20.3 | 83 |
| 1 1 -2 | 20.9 | 100 |
| 0 1 2 | 22.3 | 89 |
| 1 1 2 | 26.1 | 56 |
| 3 1 -4 | 32.0 | 39 |